Simulated X-ray powder pattern of Pm2MnAl12Ni3 for Cu Kα, from a crystal structure in Alexandria, relaxed with GGA-PBE.
Neutral-atom scattering factors, no anomalous dispersion.

Structural model:
```
18
Lattice="3.1611 1.8251 9.4847 -3.1611 1.8251 9.4847 0.0000 -3.6501 9.4847" Properties=species:S:1:pos:R:3 pbc="T T T"
Pm 0.0000 0.0000 4.0237
Pm 0.0000 0.0000 24.4305
Mn 0.0000 0.0000 14.2271
Al 0.0000 -2.1113 8.2544
Al -1.8284 1.0557 8.2544
Al -1.4277 -0.8243 12.3737
Al -1.8284 -1.0557 20.1998
Al 0.0000 -1.6486 16.0806
Al -1.4277 0.8243 16.0806
Al 1.4277 -0.8243 12.3736
Al 0.0000 1.6486 12.3736
Al 1.8284 1.0556 8.2544
Al 1.4277 0.8243 16.0806
Al 1.8284 -1.0556 20.1998
Al 0.0000 2.1113 20.1998
Ni -1.5805 -0.9125 9.4847
Ni -1.5805 0.9125 18.9695
Ni 0.0000 1.8251 9.4847
```

The 12 most intense peaks (2θ from 10° to 80°), by intensity:
| d (Å) | Rel. int. |
| --- | --- |
| 2.999 | 100 |
| 2.169 | 55 |
| 2.339 | 38 |
| 1.581 | 33 |
| 2.725 | 30 |
| 4.339 | 28 |
| 4.742 | 27 |
| 2.525 | 26 |
| 1.792 | 23 |
| 1.616 | 20 |
| 3.264 | 19 |
| 2.630 | 18 |

***

Simulated X-ray powder pattern of MgH6Rh2 for Cu Kα, from a crystal structure in Alexandria, relaxed with GGA-PBE.
Neutral-atom scattering factors, no anomalous dispersion.

Structural model:
```
27
Lattice="7.8596 0.0000 0.0000 -3.9298 6.8066 0.0000 0.0000 0.0000 4.0147" Properties=species:S:1:pos:R:3 pbc="T T T"
Mg 0.0000 0.0000 0.0000
Mg 0.0000 4.5377 1.9064
Mg 3.9298 2.2689 2.1084
H -1.3558 3.5852 3.0741
H -2.5565 5.8153 2.9053
H 0.1719 1.6850 2.9053
H -0.1078 2.8288 0.8523
H -1.4261 5.4856 0.8523
H 1.3733 0.9914 1.1094
H 2.5037 1.3210 3.1625
H -0.1470 6.1882 3.0741
H 1.5028 3.8399 3.0741
H 3.7828 0.6185 0.9407
H 2.5740 3.2214 0.9407
H 1.5339 5.2988 0.8523
H 2.3846 6.1130 2.9053
H 3.8220 3.9778 3.1625
H 5.4637 1.5078 3.1625
H 6.3144 0.6936 1.1094
H 4.1017 5.1216 1.1094
H 5.4326 2.9667 0.9407
Rh -1.2806 2.2181 2.0074
Rh -2.5879 4.4823 0.0000
Rh 2.5612 0.0000 2.0074
Rh 1.3419 2.3243 0.0000
Rh 5.1757 0.0000 0.0000
Rh 2.6492 4.5886 2.0074
```

The 12 most intense peaks (2θ from 10° to 80°), by intensity:
| d (Å) | Rel. int. |
| --- | --- |
| 2.808 | 100 |
| 2.269 | 44 |
| 1.765 | 25 |
| 1.503 | 24 |
| 3.930 | 24 |
| 1.393 | 22 |
| 2.007 | 10 |
| 1.267 | 8 |
| 1.310 | 7 |
| 1.788 | 5 |
| 1.965 | 3 |
| 1.485 | 3 |

***

Simulated X-ray powder pattern of LiPm2ZnIr2 for Cu Kα, from a crystal structure in Alexandria, relaxed with GGA-PBE.
Neutral-atom scattering factors, no anomalous dispersion.

Structural model:
```
12
Lattice="-2.8689 7.3236 2.8838 2.8689 -7.3236 2.8838 2.8689 7.3236 -2.8838" Properties=species:S:1:pos:R:3 pbc="T T T"
Li 0.0000 0.0000 1.4419
Li 0.0000 0.0000 4.3257
Pm 1.4073 2.4865 0.0000
Pm 1.4073 -2.4865 2.8838
Pm 1.4616 9.8101 0.0000
Pm 1.4616 4.8372 2.8838
Zn 2.8689 0.0000 1.4419
Zn 0.0000 7.3236 1.4419
Ir 4.2603 1.7852 0.0000
Ir 1.3914 5.5384 0.0000
Ir 1.4775 1.7852 2.8838
Ir -1.3914 5.5384 2.8838
```

The 12 most intense peaks (2θ from 10° to 80°), by intensity:
| d (Å) | Rel. int. |
| --- | --- |
| 2.034 | 100 |
| 2.884 | 85 |
| 2.869 | 84 |
| 2.266 | 83 |
| 2.258 | 82 |
| 3.662 | 81 |
| 2.722 | 72 |
| 2.093 | 66 |
| 1.778 | 44 |
| 1.378 | 43 |
| 3.556 | 26 |
| 1.215 | 23 |

***

Simulated X-ray powder pattern of NaAcTl4 for Cu Kα, from a crystal structure in Alexandria, relaxed with GGA-PBE.
Neutral-atom scattering factors, no anomalous dispersion.

Structural model:
```
6
Lattice="3.8215 0.0000 0.0000 0.0000 5.2458 0.0000 -0.2818 0.0000 9.4190" Properties=species:S:1:pos:R:3 pbc="T T T"
Na 0.0000 0.0000 0.0000
Ac -0.1400 2.6229 4.7276
Tl 1.2189 2.6229 7.9580
Tl 1.4761 0.0000 3.0813
Tl 2.0477 0.0000 6.3491
Tl 2.3445 2.6229 1.4917
```

The 12 most intense peaks (2θ from 10° to 80°), by intensity:
| d (Å) | Rel. int. |
| --- | --- |
| 2.955 | 100 |
| 2.694 | 87 |
| 2.924 | 49 |
| 2.623 | 41 |
| 1.953 | 31 |
| 1.571 | 24 |
| 1.753 | 19 |
| 2.032 | 17 |
| 1.591 | 17 |
| 1.606 | 16 |
| 1.528 | 16 |
| 3.820 | 15 |

***

Simulated X-ray powder pattern of B7C5 for Cu Kα, from a crystal structure in Alexandria, relaxed with GGA-PBE.
Neutral-atom scattering factors, no anomalous dispersion.

Structural model:
```
12
Lattice="4.1891 0.0000 0.0000 1.9481 4.3715 0.0000 0.7369 1.8789 4.8212" Properties=species:S:1:pos:R:3 pbc="T T T"
B 0.0000 0.0000 0.0000
B 0.9851 2.1261 1.4703
B 2.7235 3.5370 1.6118
B 3.4411 4.7130 4.7758
B 2.9132 1.2107 2.7106
B 4.9272 4.3924 3.9765
B 6.0387 5.0013 1.6918
C 1.5397 3.0292 3.9838
C 2.0588 2.4973 2.6490
C 1.9184 1.4362 0.1982
C 2.7582 0.2961 0.6529
C 4.1261 3.2239 0.8597
```

The 12 most intense peaks (2θ from 10° to 80°), by intensity:
| d (Å) | Rel. int. |
| --- | --- |
| 4.821 | 100 |
| 2.181 | 55 |
| 2.348 | 55 |
| 2.369 | 41 |
| 2.057 | 37 |
| 3.557 | 36 |
| 3.387 | 35 |
| 1.383 | 18 |
| 1.358 | 18 |
| 2.513 | 16 |
| 1.262 | 13 |
| 1.663 | 12 |

***

Simulated X-ray powder pattern of MoAu for Cu Kα, from a crystal structure in Alexandria, relaxed with GGA-PBE.
Neutral-atom scattering factors, no anomalous dispersion.

Structural model:
```
4
Lattice="3.0653 0.0000 0.0000 0.0000 4.3755 0.0000 0.0000 0.0000 5.0225" Properties=species:S:1:pos:R:3 pbc="T T T"
Mo 0.7663 1.0939 0.2532
Mo 2.2990 3.2816 4.7693
Au 0.7663 3.2816 2.1188
Au 2.2990 1.0939 2.9037
```

The 12 most intense peaks (2θ from 10° to 80°), by intensity:
| d (Å) | Rel. int. |
| --- | --- |
| 2.246 | 100 |
| 2.178 | 32 |
| 2.188 | 28 |
| 2.511 | 27 |
| 2.616 | 17 |
| 1.274 | 16 |
| 5.023 | 16 |
| 1.220 | 15 |
| 1.469 | 14 |
| 1.253 | 11 |
| 1.255 | 10 |
| 1.650 | 9 |

***

Simulated X-ray powder pattern of BeGaCu for Cu Kα, from a crystal structure in Alexandria, relaxed with GGA-PBE.
Neutral-atom scattering factors, no anomalous dispersion.

Structural model:
```
12
Lattice="8.1711 0.0000 0.0000 0.0000 3.4177 0.0000 -2.1919 0.0000 5.5330" Properties=species:S:1:pos:R:3 pbc="T T T"
Be 0.6569 0.0000 0.9125
Be 1.2368 1.7088 4.6205
Be 4.7425 1.7088 0.9125
Be 5.3223 0.0000 4.6205
Ga -0.5293 0.0000 4.2941
Ga 2.4230 1.7088 1.2389
Ga 3.5562 1.7088 4.2941
Ga 6.5086 0.0000 1.2389
Cu 0.1011 1.7088 2.3983
Cu 1.7926 0.0000 3.1348
Cu 4.1867 0.0000 2.3983
Cu 5.8782 1.7088 3.1348
```

The 12 most intense peaks (2θ from 10° to 80°), by intensity:
| d (Å) | Rel. int. |
| --- | --- |
| 2.555 | 100 |
| 5.533 | 48 |
| 1.935 | 45 |
| 2.124 | 41 |
| 1.968 | 27 |
| 1.929 | 26 |
| 1.899 | 25 |
| 1.709 | 19 |
| 2.244 | 13 |
| 1.290 | 12 |
| 1.270 | 12 |
| 3.865 | 12 |

***

Simulated X-ray powder pattern of GaSiOs2Ru for Cu Kα, from a crystal structure in Alexandria, relaxed with GGA-PBE.
Neutral-atom scattering factors, no anomalous dispersion.

Structural model:
```
5
Lattice="4.4635 0.0000 0.0000 0.0000 4.4635 0.0000 0.0000 0.0000 4.3584" Properties=species:S:1:pos:R:3 pbc="T T T"
Ga 0.0000 0.0000 0.0000
Si 0.0000 0.0000 2.1792
Os 0.0000 2.2318 0.0000
Os 2.2318 0.0000 0.0000
Ru 2.2318 2.2318 2.1792
```

The 12 most intense peaks (2θ from 10° to 80°), by intensity:
| d (Å) | Rel. int. |
| --- | --- |
| 2.556 | 100 |
| 2.232 | 61 |
| 4.358 | 50 |
| 1.559 | 40 |
| 2.179 | 28 |
| 1.343 | 27 |
| 1.986 | 26 |
| 1.578 | 21 |
| 1.278 | 20 |
| 3.118 | 20 |
| 1.320 | 13 |
| 3.156 | 13 |

***

Simulated X-ray powder pattern of AlZn5 for Cu Kα, from a crystal structure in Alexandria, relaxed with GGA-PBE.
Neutral-atom scattering factors, no anomalous dispersion.

Structural model:
```
12
Lattice="3.9694 0.0000 0.0000 0.0000 11.8754 0.0000 0.0000 0.0000 3.9313" Properties=species:S:1:pos:R:3 pbc="T T T"
Al 0.0000 0.0000 0.0000
Al 1.9847 5.9377 0.0000
Zn 0.0000 1.9941 1.9656
Zn 0.0000 3.9447 0.0000
Zn 0.0000 5.9377 1.9656
Zn 0.0000 7.9307 0.0000
Zn 0.0000 9.8813 1.9656
Zn 1.9847 0.0000 1.9656
Zn 1.9847 1.9930 0.0000
Zn 1.9847 3.9436 1.9656
Zn 1.9847 7.9318 1.9656
Zn 1.9847 9.8824 0.0000
```

The 12 most intense peaks (2θ from 10° to 80°), by intensity:
| d (Å) | Rel. int. |
| --- | --- |
| 2.282 | 100 |
| 1.985 | 16 |
| 1.979 | 16 |
| 1.966 | 16 |
| 1.401 | 10 |
| 1.397 | 10 |
| 1.395 | 10 |
| 5.938 | 4 |
| 3.765 | 3 |
| 2.719 | 2 |
| 3.278 | 2 |
| 3.931 | 1 |

***

Simulated X-ray powder pattern of LiPrGdFe for Cu Kα, from a crystal structure in Alexandria, relaxed with GGA-PBE.
Neutral-atom scattering factors, no anomalous dispersion.

Structural model:
```
16
Lattice="7.0984 0.0000 0.0000 0.0000 7.0984 0.0000 0.0000 0.0000 7.0984" Properties=species:S:1:pos:R:3 pbc="T T T"
Li 0.0000 0.0000 0.0000
Li 0.0000 3.5492 3.5492
Li 3.5492 0.0000 3.5492
Li 3.5492 3.5492 0.0000
Pr 1.7746 1.7746 1.7746
Pr 1.7746 5.3238 5.3238
Pr 5.3238 1.7746 5.3238
Pr 5.3238 5.3238 1.7746
Gd 1.7746 1.7746 5.3238
Gd 1.7746 5.3238 1.7746
Gd 5.3238 1.7746 1.7746
Gd 5.3238 5.3238 5.3238
Fe 0.0000 0.0000 3.5492
Fe 0.0000 3.5492 0.0000
Fe 3.5492 0.0000 0.0000
Fe 3.5492 3.5492 3.5492
```

The 12 most intense peaks (2θ from 10° to 80°), by intensity:
| d (Å) | Rel. int. |
| --- | --- |
| 2.510 | 100 |
| 3.549 | 52 |
| 1.449 | 35 |
| 1.587 | 21 |
| 1.775 | 17 |
| 2.049 | 15 |
| 1.255 | 11 |
| 4.098 | 6 |
| 2.140 | 3 |
| 1.628 | 1 |
| 1.366 | 1 |
| 1.200 | 1 |

***

Simulated X-ray powder pattern of La3HoTm12 for Cu Kα, from a crystal structure in Alexandria, relaxed with GGA-PBE.
Neutral-atom scattering factors, no anomalous dispersion.

Structural model:
```
16
Lattice="5.0096 0.0000 0.0000 0.0000 5.0096 0.0000 0.0000 0.0000 20.0671" Properties=species:S:1:pos:R:3 pbc="T T T"
La 0.0000 0.0000 0.0000
La 0.0000 0.0000 5.0210
La 0.0000 0.0000 15.0460
Ho 0.0000 0.0000 10.0335
Tm 0.0000 2.5048 2.5261
Tm 0.0000 2.5048 7.5976
Tm 0.0000 2.5048 12.4694
Tm 0.0000 2.5048 17.5410
Tm 2.5048 0.0000 2.5261
Tm 2.5048 0.0000 7.5976
Tm 2.5048 0.0000 12.4694
Tm 2.5048 0.0000 17.5410
Tm 2.5048 2.5048 0.0000
Tm 2.5048 2.5048 5.0642
Tm 2.5048 2.5048 10.0335
Tm 2.5048 2.5048 15.0028
```

The 7 most intense peaks (2θ from 10° to 80°), by intensity:
| d (Å) | Rel. int. |
| --- | --- |
| 2.894 | 100 |
| 2.506 | 51 |
| 1.511 | 43 |
| 1.772 | 36 |
| 1.447 | 12 |
| 1.252 | 4 |
| 1.254 | 2 |

***

Simulated X-ray powder pattern of Pr4TlHg2Rh for Cu Kα, from a crystal structure in Alexandria, relaxed with GGA-PBE.
Neutral-atom scattering factors, no anomalous dispersion.

Structural model:
```
8
Lattice="2.7115 1.5655 8.6661 -2.7115 1.5655 8.6661 0.0000 -3.1310 8.6661" Properties=species:S:1:pos:R:3 pbc="T T T"
Pr 0.0000 0.0000 2.9260
Pr 0.0000 0.0000 9.5444
Pr 0.0000 0.0000 16.4539
Pr 0.0000 0.0000 23.0723
Tl 0.0000 0.0000 12.9991
Hg 0.0000 0.0000 6.2303
Hg 0.0000 0.0000 19.7679
Rh 0.0000 0.0000 0.0000
```

The 12 most intense peaks (2θ from 10° to 80°), by intensity:
| d (Å) | Rel. int. |
| --- | --- |
| 2.712 | 100 |
| 2.672 | 78 |
| 1.558 | 30 |
| 1.903 | 29 |
| 1.565 | 19 |
| 2.913 | 16 |
| 1.209 | 13 |
| 1.460 | 13 |
| 1.356 | 12 |
| 1.536 | 7 |
| 1.602 | 5 |
| 1.985 | 5 |